No. 1
Diffraction record for CePm15Sm4. The powder diffraction line list is computed, not measured: it uses a cell relaxed with GGA-PBE and Cu Kα (weighted mean of Kα1 and Kα2).
Intensities are scaled so that the largest is 100.

Largest 8 diffraction maxima, in order of falling intensity, 15 to 90 degrees two-theta:
2θ 30.03, intensity 100, hkl 1 1 5; 2θ 34.82, intensity 51, hkl 2 0 0; 2θ 59.49, intensity 43, hkl 3 1 5; 2θ 50.06, intensity 36, hkl 2 2 0; 2θ 81.39, intensity 18, hkl 3 3 5; 2θ 83.98, intensity 16, hkl 4 2 0; 2θ 62.42, intensity 12, hkl 2 2 10; 2θ 73.51, intensity 6, hkl 4 0 0

Structure:
Unit cell a=5.155 b=5.155 c=25.749 alpha=90.00 beta=90.00 gamma=90.00
Atoms (fractional coordinates):
Ce: 0.000 0.000 0.000
Pm: 0.000 0.500 0.098
Pm: 0.000 0.500 0.300
Pm: 0.000 0.500 0.500
Pm: 0.000 0.500 0.700
Pm: 0.000 0.500 0.902
Pm: 0.500 0.000 0.098
Pm: 0.500 0.000 0.300
Pm: 0.500 0.000 0.500
Pm: 0.500 0.000 0.700
Pm: 0.500 0.000 0.902
Pm: 0.500 0.500 0.000
Pm: 0.500 0.500 0.200
Pm: 0.500 0.500 0.400
Pm: 0.500 0.500 0.600
Pm: 0.500 0.500 0.800
Sm: 0.000 0.000 0.199
Sm: 0.000 0.000 0.400
Sm: 0.000 0.000 0.600
Sm: 0.000 0.000 0.801

---

No. 2
Diffraction record for CePmSm. The powder diffraction line list is computed, not measured: it uses a cell relaxed with GGA-PBE and Cu Kα (weighted mean of Kα1 and Kα2).
Intensities are scaled so that the largest is 100.

Largest 10 diffraction maxima, in order of falling intensity, 15 to 90 degrees two-theta:
2θ 30.71, intensity 100, hkl 1 0 3; 2θ 35.61, intensity 50, hkl 1 1 0; 2θ 60.94, intensity 41, hkl 2 1 3; 2θ 51.24, intensity 35, hkl 2 0 0; 2θ 83.58, intensity 16, hkl 3 0 3; 2θ 63.96, intensity 12, hkl 2 0 6; 2θ 86.32, intensity 11, hkl 3 1 0; 2θ 86.17, intensity 4, hkl 1 1 12; 2θ 75.46, intensity 4, hkl 2 2 0; 2θ 75.28, intensity 2, hkl 0 0 12

Structure:
Unit cell a=3.563 b=3.563 c=15.148 alpha=90.00 beta=90.00 gamma=90.00
Atoms (fractional coordinates):
Ce: 0.000 0.000 0.000
Ce: 0.500 0.500 0.500
Pm: 0.000 0.000 0.341
Pm: 0.500 0.500 0.841
Sm: 0.000 0.000 0.659
Sm: 0.500 0.500 0.159